[1]
For KP, a crystal structure in the Materials Project, relaxed with GGA-PBE gives the computed powder X-ray diffraction pattern in this record (Cu Ka).
Peak positions follow from Bragg's law for the DFT cell and can differ from measured ones.

Main lines, low angle first (10 to 90 degrees two-theta):
d_spacing, 2theta, I/Imax
5.723, 15.48, 38
3.178, 28.08, 48
2.905, 30.78, 100
2.772, 32.30, 31
2.693, 33.27, 37
2.592, 34.61, 48

Cell and atoms:
Cell: 6.104 6.617 11.432 Å, 90.00 90.00 90.00°
Element x y z (fractional)
K  0.103  0.117  0.417
K  0.165  0.355  0.784
K  0.335  0.645  0.284
K  0.397  0.883  0.917
K  0.603  0.383  0.583
K  0.665  0.145  0.216
K  0.835  0.855  0.716
K  0.897  0.617  0.083
P  0.094  0.582  0.529
P  0.166  0.189  0.101
P  0.334  0.811  0.601
P  0.406  0.418  0.029
P  0.594  0.918  0.471
P  0.666  0.311  0.899
P  0.834  0.689  0.399
P  0.906  0.082  0.971

---

[2]
For KP15, a crystal structure in the Materials Project, relaxed with GGA-PBE gives the computed powder X-ray diffraction pattern in this record (Cu Ka).
Peak positions follow from Bragg's law for the DFT cell and can differ from measured ones.

Main lines, low angle first (10 to 90 degrees two-theta):
d_spacing, 2theta, I/Imax
6.685, 13.24, 70
6.126, 14.46, 90
5.535, 16.01, 54
4.890, 18.14, 100
3.277, 27.21, 73
3.110, 28.70, 59

Cell and atoms:
Cell: 7.474 9.411 12.501 Å, 89.36 79.06 69.36°
Element x y z (fractional)
K  0.213  0.291  0.499
K  0.787  0.709  0.501
P  0.008  0.160  0.094
P  0.014  0.068  0.684
P  0.037  0.606  0.843
P  0.117  0.736  0.195
P  0.125  0.603  0.668
P  0.203  0.911  0.782
P  0.243  0.003  0.311
P  0.294  0.622  0.315
P  0.296  0.037  0.132
P  0.312  0.517  0.907
P  0.334  0.809  0.069
P  0.341  0.707  0.665
P  0.394  0.272  0.867
P  0.477  0.411  0.216
P  0.480  0.765  0.311
P  0.520  0.235  0.689
P  0.523  0.589  0.784
P  0.606  0.728  0.133
P  0.659  0.293  0.335
P  0.666  0.191  0.931
P  0.688  0.483  0.093
P  0.704  0.963  0.868
P  0.706  0.378  0.685
P  0.757  0.997  0.689
P  0.797  0.089  0.218
P  0.875  0.397  0.332
P  0.883  0.264  0.805
P  0.963  0.394  0.157
P  0.986  0.932  0.316
P  0.992  0.840  0.906

---

[3]
For K2P2Pd, a crystal structure in the Materials Project, relaxed with GGA-PBE gives the computed powder X-ray diffraction pattern in this record (Cu Ka).
Peak positions follow from Bragg's law for the DFT cell and can differ from measured ones.

Main lines, low angle first (10 to 90 degrees two-theta):
d_spacing, 2theta, I/Imax
7.138, 12.40, 81
5.840, 15.17, 100
3.218, 27.72, 41
3.200, 27.88, 26
2.660, 33.70, 32
2.353, 38.25, 42

Cell and atoms:
Cell: 7.822 7.822 5.975 Å, 90.00 90.00 131.71°
Element x y z (fractional)
K  0.075  0.925  0.750
K  0.288  0.712  0.250
K  0.712  0.288  0.750
K  0.925  0.075  0.250
P  0.219  0.441  0.750
P  0.441  0.219  0.250
P  0.559  0.781  0.750
P  0.781  0.559  0.250
Pd  0.500  0.500  0.000
Pd  0.500  0.500  0.500

---

[4]
For K2P2PdS6, a crystal structure in the Materials Project, relaxed with GGA-PBE gives the computed powder X-ray diffraction pattern in this record (Cu Ka).
Peak positions follow from Bragg's law for the DFT cell and can differ from measured ones.

Main lines, low angle first (10 to 90 degrees two-theta):
d_spacing, 2theta, I/Imax
8.634, 10.25, 100
7.973, 11.10, 51
3.328, 26.79, 30
3.046, 29.32, 30
2.675, 33.51, 55
2.444, 36.78, 26

Cell and atoms:
Cell: 15.947 7.214 10.269 Å, 90.00 90.00 90.00°
Element x y z (fractional)
K  0.119  0.250  0.065
K  0.183  0.250  0.586
K  0.317  0.750  0.086
K  0.381  0.750  0.565
K  0.619  0.250  0.435
K  0.683  0.250  0.914
K  0.817  0.750  0.414
K  0.881  0.750  0.935
P  0.056  0.750  0.219
P  0.168  0.750  0.350
P  0.332  0.250  0.850
P  0.444  0.250  0.719
P  0.556  0.750  0.281
P  0.668  0.750  0.150
P  0.832  0.250  0.650
P  0.944  0.250  0.781
Pd  0.000  0.000  0.500
Pd  0.000  0.500  0.500
Pd  0.500  0.000  0.000
Pd  0.500  0.500  0.000
S  0.008  0.013  0.730
S  0.008  0.487  0.730
S  0.090  0.750  0.033
S  0.095  0.750  0.527
S  0.233  0.515  0.334
S  0.233  0.985  0.334
S  0.267  0.015  0.834
S  0.267  0.485  0.834
S  0.405  0.250  0.027
S  0.410  0.250  0.533
S  0.492  0.513  0.230
S  0.492  0.987  0.230
S  0.508  0.013  0.770
S  0.508  0.487  0.770
S  0.590  0.750  0.467
S  0.595  0.750  0.973
S  0.733  0.515  0.166
S  0.733  0.985  0.166
S  0.767  0.015  0.666
S  0.767  0.485  0.666
S  0.905  0.250  0.473
S  0.910  0.250  0.967
S  0.992  0.513  0.270
S  0.992  0.987  0.270

---

[5]
For KPPdS4, a crystal structure in the Materials Project, relaxed with GGA-PBE gives the computed powder X-ray diffraction pattern in this record (Cu Ka).
Peak positions follow from Bragg's law for the DFT cell and can differ from measured ones.

Main lines, low angle first (10 to 90 degrees two-theta):
d_spacing, 2theta, I/Imax
6.195, 14.30, 49
5.369, 16.51, 100
4.058, 21.90, 90
2.462, 36.49, 73
2.028, 44.68, 32
1.697, 54.03, 33

Cell and atoms:
Cell: 8.761 8.761 10.740 Å, 90.00 90.00 90.00°
Element x y z (fractional)
K  0.000  0.500  0.250
K  0.000  0.500  0.750
K  0.500  0.000  0.250
K  0.500  0.000  0.750
P  0.249  0.249  0.000
P  0.251  0.749  0.500
P  0.749  0.251  0.500
P  0.751  0.751  0.000
Pd  0.000  0.000  0.000
Pd  0.000  0.000  0.500
Pd  0.500  0.500  0.000
Pd  0.500  0.500  0.500
S  0.017  0.732  0.500
S  0.143  0.143  0.146
S  0.143  0.143  0.854
S  0.232  0.483  0.000
S  0.268  0.983  0.500
S  0.357  0.643  0.354
S  0.357  0.643  0.646
S  0.483  0.232  0.000
S  0.517  0.768  0.000
S  0.643  0.357  0.354
S  0.643  0.357  0.646
S  0.732  0.017  0.500
S  0.768  0.517  0.000
S  0.857  0.857  0.146
S  0.857  0.857  0.854
S  0.983  0.268  0.500

---

[6]
For K3PuP2S8, a crystal structure in the Materials Project, relaxed with GGA-PBE gives the computed powder X-ray diffraction pattern in this record (Cu Ka).
Peak positions follow from Bragg's law for the DFT cell and can differ from measured ones.

Main lines, low angle first (10 to 90 degrees two-theta):
d_spacing, 2theta, I/Imax
8.640, 10.24, 69
8.406, 10.52, 100
4.942, 17.95, 20
4.030, 22.05, 20
3.299, 27.03, 19
3.102, 28.78, 23

Cell and atoms:
Cell: 9.129 17.281 9.621 Å, 90.00 90.42 90.00°
Element x y z (fractional)
K  0.115  0.212  0.132
K  0.115  0.288  0.632
K  0.232  0.031  0.512
K  0.232  0.469  0.012
K  0.378  0.708  0.872
K  0.378  0.792  0.372
K  0.622  0.208  0.628
K  0.622  0.292  0.128
K  0.768  0.531  0.988
K  0.768  0.969  0.488
K  0.885  0.712  0.368
K  0.885  0.788  0.868
Pu  0.279  0.512  0.475
Pu  0.279  0.988  0.975
Pu  0.721  0.012  0.025
Pu  0.721  0.488  0.525
P  0.027  0.596  0.717
P  0.027  0.904  0.217
P  0.499  0.100  0.240
P  0.499  0.400  0.740
P  0.501  0.600  0.260
P  0.501  0.900  0.760
P  0.973  0.096  0.783
P  0.973  0.404  0.283
S  0.047  0.021  0.174
S  0.047  0.479  0.674
S  0.065  0.625  0.918
S  0.065  0.875  0.418
S  0.171  0.652  0.587
S  0.171  0.848  0.087
S  0.187  0.125  0.836
S  0.187  0.375  0.336
S  0.280  0.610  0.231
S  0.280  0.890  0.731
S  0.385  0.175  0.359
S  0.385  0.325  0.859
S  0.445  0.516  0.748
S  0.445  0.984  0.248
S  0.466  0.120  0.029
S  0.466  0.380  0.529
S  0.534  0.620  0.471
S  0.534  0.880  0.971
S  0.555  0.016  0.752
S  0.555  0.484  0.252
S  0.615  0.675  0.141
S  0.615  0.825  0.641
S  0.720  0.110  0.269
S  0.720  0.390  0.769
S  0.813  0.625  0.664
S  0.813  0.875  0.164
S  0.829  0.152  0.913
S  0.829  0.348  0.413
S  0.935  0.125  0.582
S  0.935  0.375  0.082
S  0.953  0.521  0.326
S  0.953  0.979  0.826

---

[7]
For KP2Rh2, a crystal structure in the Materials Project, relaxed with GGA-PBE gives the computed powder X-ray diffraction pattern in this record (Cu Ka).
Peak positions follow from Bragg's law for the DFT cell and can differ from measured ones.

Main lines, low angle first (10 to 90 degrees two-theta):
d_spacing, 2theta, I/Imax
6.613, 13.39, 100
3.307, 26.96, 22
2.571, 34.90, 55
2.133, 42.38, 28
1.973, 46.00, 22
1.730, 52.93, 28

Cell and atoms:
Cell: 3.946 3.946 13.227 Å, 90.00 90.00 90.00°
Element x y z (fractional)
K  0.000  0.000  0.000
K  0.500  0.500  0.500
P  0.000  0.000  0.346
P  0.000  0.000  0.654
P  0.500  0.500  0.154
P  0.500  0.500  0.846
Rh  0.000  0.500  0.250
Rh  0.000  0.500  0.750
Rh  0.500  0.000  0.250
Rh  0.500  0.000  0.750

---

[8]
For KP2Ru2, a crystal structure in the Materials Project, relaxed with GGA-PBE gives the computed powder X-ray diffraction pattern in this record (Cu Ka).
Peak positions follow from Bragg's law for the DFT cell and can differ from measured ones.

Main lines, low angle first (10 to 90 degrees two-theta):
d_spacing, 2theta, I/Imax
6.345, 13.96, 100
3.173, 28.13, 22
2.613, 34.32, 55
2.127, 42.49, 26
2.028, 44.69, 25
1.702, 53.86, 28

Cell and atoms:
Cell: 4.056 4.056 12.691 Å, 90.00 90.00 90.00°
Element x y z (fractional)
K  0.000  0.000  0.000
K  0.500  0.500  0.500
P  0.000  0.000  0.337
P  0.000  0.000  0.663
P  0.500  0.500  0.163
P  0.500  0.500  0.837
Ru  0.000  0.500  0.250
Ru  0.000  0.500  0.750
Ru  0.500  0.000  0.250
Ru  0.500  0.000  0.750